[1]
Computed powder X-ray diffraction pattern
Compound: La14TbY
Radiation: Cu Kα, 1.54184 Å
Structure: a cell relaxed with PBE
Peak positions follow from Bragg's law for the DFT cell and can differ from measured ones.

Main lines, in order of rising 2θ (10° ≤ 2θ ≤ 90°):
2θ/deg, I_rel
29.6, 14.0
30.1, 31.9
30.2, 100.0
31.0, 21.6
32.7, 6.8
42.8, 6.9
43.8, 16.2
53.2, 9.6
53.6, 21.0
54.6, 9.0
60.5, 7.0
62.0, 7.0

Atomic structure:
Cell lengths 11.8679, 7.1525, 7.1525 Å; angles 107.61, 90.00, 90.00 degrees
Sites, in units of the cell vectors:
La  0.0000  0.0000  0.0000
La  0.0000  0.4306  0.4306
La  0.0000  0.5322  0.9520
La  0.0000  0.9520  0.5322
La  0.2450  0.2432  0.8137
La  0.2450  0.8137  0.2432
La  0.2547  0.3109  0.3109
La  0.2628  0.7469  0.7469
La  0.5000  0.5193  0.9846
La  0.5000  0.9846  0.5193
La  0.7372  0.7469  0.7469
La  0.7453  0.3109  0.3109
La  0.7550  0.2432  0.8137
La  0.7550  0.8137  0.2432
Tb  0.5000  0.0390  0.0390
Y  0.5000  0.4812  0.4812

---

[2]
Computed powder X-ray diffraction pattern
Compound: La2Tb4Y7
Radiation: Cu Kα, 1.54184 Å
Structure: a cell relaxed with PBE
Peak positions follow from Bragg's law for the DFT cell and can differ from measured ones.

Main lines, in order of rising 2θ (10° ≤ 2θ ≤ 90°):
2θ/deg, I_rel
26.0, 10.8
26.6, 15.9
29.1, 32.3
29.9, 31.4
31.5, 25.4
32.1, 100.0
35.5, 18.2
50.5, 13.9
51.7, 28.3
62.1, 20.0
63.2, 12.8
85.0, 12.9

Atomic structure:
Cell lengths 6.1294, 6.1294, 13.4288 Å; angles 90.00, 90.00, 120.00 degrees
Sites, in units of the cell vectors:
La  0.3333  0.6667  0.0000
La  0.6667  0.3333  0.0000
Tb  0.0000  0.0000  0.3955
Tb  0.0000  0.0000  0.6045
Tb  0.3333  0.6667  0.5000
Tb  0.6667  0.3333  0.5000
Y  0.0000  0.0000  0.0000
Y  0.0000  0.3539  0.7825
Y  0.0000  0.6461  0.2175
Y  0.3539  0.0000  0.7825
Y  0.3539  0.3539  0.2175
Y  0.6461  0.0000  0.2175
Y  0.6461  0.6461  0.7825

---

[3]
Computed powder X-ray diffraction pattern
Compound: LaTb2Y6
Radiation: Cu Kα, 1.54184 Å
Structure: a cell relaxed with PBE
Peak positions follow from Bragg's law for the DFT cell and can differ from measured ones.

Main lines, in order of rising 2θ (10° ≤ 2θ ≤ 90°):
2θ/deg, I_rel
22.0, 10.8
28.4, 26.7
28.7, 33.0
30.7, 16.8
30.9, 100.0
31.3, 46.9
32.3, 33.8
33.0, 31.3
33.4, 26.5
33.8, 24.2
36.5, 18.1
63.0, 11.3

Atomic structure:
Cell lengths 9.6100, 9.6100, 6.6254 Å; angles 98.49, 98.49, 95.16 degrees
Sites, in units of the cell vectors:
La  0.1226  0.8774  0.7500
La  0.8774  0.1226  0.2500
Tb  0.3368  0.3873  0.6325
Tb  0.3873  0.3368  0.1325
Tb  0.6127  0.6632  0.8675
Tb  0.6632  0.6127  0.3675
Y  0.0534  0.2219  0.8187
Y  0.0603  0.4610  0.2704
Y  0.2219  0.0534  0.3187
Y  0.2792  0.6512  0.9997
Y  0.3488  0.7208  0.5003
Y  0.4610  0.0603  0.7704
Y  0.5390  0.9397  0.2296
Y  0.6512  0.2792  0.4997
Y  0.7208  0.3488  0.0003
Y  0.7781  0.9466  0.6813
Y  0.9397  0.5390  0.7296
Y  0.9466  0.7781  0.1813

---

[4]
Computed powder X-ray diffraction pattern
Compound: La3Tb2Y3
Radiation: Cu Kα, 1.54184 Å
Structure: a cell relaxed with PBE
Peak positions follow from Bragg's law for the DFT cell and can differ from measured ones.

Main lines, in order of rising 2θ (10° ≤ 2θ ≤ 90°):
2θ/deg, I_rel
30.1, 100.0
34.7, 34.1
35.2, 16.4
49.9, 12.1
50.3, 12.0
50.3, 11.8
59.4, 28.5
60.1, 13.8
62.5, 12.1
81.1, 5.8
81.8, 11.3
83.6, 5.3

Atomic structure:
Cell lengths 10.9547, 10.9547, 10.9547 Å; angles 153.12, 152.68, 38.70 degrees
Sites, in units of the cell vectors:
La  0.0000  0.0000  0.0000
La  0.3748  0.8748  0.5000
La  0.6252  0.1252  0.5000
Tb  0.2488  0.2488  0.0000
Tb  0.7512  0.7512  0.0000
Y  0.1279  0.6279  0.5000
Y  0.5000  0.5000  0.0000
Y  0.8721  0.3721  0.5000

---

[5]
Computed powder X-ray diffraction pattern
Compound: La12Tb7Y
Radiation: Cu Kα, 1.54184 Å
Structure: a cell relaxed with PBE
Peak positions follow from Bragg's law for the DFT cell and can differ from measured ones.

Main lines, in order of rising 2θ (10° ≤ 2θ ≤ 90°):
2θ/deg, I_rel
22.3, 12.3
28.3, 13.3
30.0, 18.5
30.2, 100.0
31.8, 33.4
31.9, 46.7
33.3, 14.1
37.7, 9.7
52.4, 10.3
52.6, 8.6
52.7, 13.0
55.9, 10.9

Atomic structure:
Cell lengths 8.8900, 8.8900, 8.8900 Å; angles 89.60, 89.60, 89.60 degrees
Sites, in units of the cell vectors:
La  0.0180  0.8921  0.3561
La  0.1079  0.6439  0.9820
La  0.2172  0.3541  0.7652
La  0.2348  0.7828  0.6459
La  0.3541  0.7652  0.2172
La  0.3561  0.0180  0.8921
La  0.6439  0.9820  0.1079
La  0.6459  0.2348  0.7828
La  0.7652  0.2172  0.3541
La  0.7828  0.6459  0.2348
La  0.8921  0.3561  0.0180
La  0.9820  0.1079  0.6439
Tb  0.0000  0.0000  0.0000
Tb  0.1228  0.4389  0.3594
Tb  0.3594  0.1228  0.4389
Tb  0.4389  0.3594  0.1228
Tb  0.5611  0.6406  0.8772
Tb  0.6406  0.8772  0.5611
Tb  0.8772  0.5611  0.6406
Y  0.5000  0.5000  0.5000

---

[6]
Computed powder X-ray diffraction pattern
Compound: La2TbY2
Radiation: Cu Kα, 1.54184 Å
Structure: a cell relaxed with PBE
Peak positions follow from Bragg's law for the DFT cell and can differ from measured ones.

Main lines, in order of rising 2θ (10° ≤ 2θ ≤ 90°):
2θ/deg, I_rel
27.3, 63.8
29.5, 69.2
29.7, 26.9
30.2, 100.0
31.4, 70.8
31.7, 61.2
33.2, 85.5
34.3, 29.2
36.8, 22.5
38.6, 26.3
48.8, 22.9
51.3, 22.4

Atomic structure:
Cell lengths 6.5853, 6.5853, 8.9670 Å; angles 105.64, 105.64, 95.18 degrees
Sites, in units of the cell vectors:
La  0.0724  0.2477  0.1392
La  0.2477  0.0724  0.6392
La  0.7523  0.9276  0.3608
La  0.9276  0.7523  0.8608
Tb  0.2054  0.7946  0.2500
Tb  0.7946  0.2054  0.7500
Y  0.0000  0.5000  0.5000
Y  0.5000  0.0000  0.0000
Y  0.5000  0.5000  0.0000
Y  0.5000  0.5000  0.5000

---

[7]
Computed powder X-ray diffraction pattern
Compound: LaTb12Y5
Radiation: Cu Kα, 1.54184 Å
Structure: a cell relaxed with PBE
Peak positions follow from Bragg's law for the DFT cell and can differ from measured ones.

Main lines, in order of rising 2θ (10° ≤ 2θ ≤ 90°):
2θ/deg, I_rel
11.7, 5.1
25.6, 2.9
30.6, 100.0
35.5, 50.5
37.5, 1.4
38.9, 1.5
51.1, 35.7
60.8, 42.3
63.8, 12.2
75.2, 5.6
83.3, 17.3
86.0, 16.2

Atomic structure:
Cell lengths 10.7249, 10.7249, 5.0563 Å; angles 90.00, 90.00, 90.04 degrees
Sites, in units of the cell vectors:
La  0.0000  0.0000  0.0000
Tb  0.0008  0.3361  0.0000
Tb  0.1670  0.4993  0.5000
Tb  0.1691  0.1691  0.5000
Tb  0.3328  0.3328  0.0000
Tb  0.3361  0.0008  0.0000
Tb  0.4993  0.1670  0.5000
Tb  0.5007  0.8330  0.5000
Tb  0.6639  0.9992  0.0000
Tb  0.6672  0.6672  0.0000
Tb  0.8309  0.8309  0.5000
Tb  0.8330  0.5007  0.5000
Tb  0.9992  0.6639  0.0000
Y  0.1685  0.8315  0.5000
Y  0.3336  0.6664  0.0000
Y  0.5000  0.5000  0.5000
Y  0.6664  0.3336  0.0000
Y  0.8315  0.1685  0.5000

---

[8]
Computed powder X-ray diffraction pattern
Compound: La3Tb4Y3
Radiation: Cu Kα, 1.54184 Å
Structure: a cell relaxed with PBE
Peak positions follow from Bragg's law for the DFT cell and can differ from measured ones.

Main lines, in order of rising 2θ (10° ≤ 2θ ≤ 90°):
2θ/deg, I_rel
23.6, 11.4
26.3, 12.0
29.5, 65.6
30.2, 26.8
31.6, 100.0
33.8, 18.3
38.1, 17.0
41.6, 15.2
48.3, 12.0
54.6, 19.9
57.3, 8.7
57.6, 19.7

Atomic structure:
Cell lengths 3.7691, 9.5702, 9.5702 Å; angles 90.18, 90.00, 90.00 degrees
Sites, in units of the cell vectors:
La  0.0000  0.0000  0.0000
La  0.5000  0.1763  0.6667
La  0.5000  0.6667  0.1763
Tb  0.5000  0.0513  0.3016
Tb  0.5000  0.3016  0.0513
Tb  0.5000  0.5483  0.5483
Tb  0.5000  0.7947  0.7947
Y  0.0000  0.3461  0.3461
Y  0.0000  0.5008  0.8439
Y  0.0000  0.8439  0.5008